# 1
The following is a simulated powder diffraction line list of GdBeAsO. It was derived from the PBE geometry in OQMD, using Cu Ka.
Lines closer than 0.1° are merged.

Largest 12 diffraction maxima, by angle, 2θ = 10–90°:
index  2theta  I/Imax
0 0 1  10.25  30
1 0 1  25.40  9
1 0 2  31.19  100
1 1 0  33.02  37
1 1 2  39.18  11
0 0 4  41.85  7
2 0 0  47.39  20
1 1 4  54.31  21
2 1 2  57.82  35
2 0 4  65.05  8
3 0 2  77.90  8
2 1 6  88.73  6

Structural model:
```
data_GdBeAsO
_chemical_formula_sum 'Gd2 Be2 As2 O2'
_cell_length_a 3.837
_cell_length_b 3.837
_cell_length_c 8.633
_cell_angle_alpha 90.00
_cell_angle_beta 90.00
_cell_angle_gamma 90.00
_space_group_name_H-M_alt 'P 4/n m m'
_space_group_IT_number 129
loop_
_space_group_symop_operation_xyz
'x,y,z'
'-x,-y,-z'
'-y+1/2,x,z'
'y+1/2,-x,-z'
'-x+1/2,-y+1/2,z'
'x+1/2,y+1/2,-z'
'y,-x+1/2,z'
'-y,x+1/2,-z'
'x+1/2,-y,-z'
'-x+1/2,y,z'
'-y,-x,-z'
'y,x,z'
'-x,y+1/2,-z'
'x,-y+1/2,z'
'y+1/2,x+1/2,-z'
'-y+1/2,-x+1/2,z'
loop_
_atom_site_label
_atom_site_type_symbol
_atom_site_fract_x
_atom_site_fract_y
_atom_site_fract_z
Gd1 Gd 0.250 0.250 0.136
Be1 Be 0.250 0.750 0.500
As1 As 0.250 0.250 0.655
O1 O 0.250 0.750 0.000
```

---

# 2
The following is a simulated powder diffraction line list of Rb2Cd3H6S3O16. It was derived from the PBE geometry in OQMD, using Cu Ka.
Lines closer than 0.1° are merged.

Largest 12 diffraction maxima, by angle, 2θ = 10–90°:
index  2theta  I/Imax
1 1 1  15.02  37
1 1 2  21.48  57
0 2 1  24.09  35
3 1 2  25.58  30
4 0 2  26.38  40
5 1 0  26.88  74
5 1 1  28.33  48
0 2 2  28.64  100
1 1 3  29.34  54
5 1 2  32.34  76
5 3 1  43.15  26
5 1 4  45.26  28

Structural model:
```
data_Rb2Cd3H6S3O16
_chemical_formula_sum 'Rb8 Cd12 H24 S12 O64'
_cell_length_a 18.252
_cell_length_b 7.944
_cell_length_c 10.054
_cell_angle_alpha 90.00
_cell_angle_beta 90.00
_cell_angle_gamma 90.00
_space_group_name_H-M_alt 'C m c 21'
_space_group_IT_number 36
loop_
_space_group_symop_operation_xyz
'x,y,z'
'-x,-y,z+1/2'
'-x,y,z'
'x,-y,z+1/2'
'x+1/2,y+1/2,z'
'-x+1/2,-y+1/2,z+1/2'
'-x+1/2,y+1/2,z'
'x+1/2,-y+1/2,z+1/2'
loop_
_atom_site_label
_atom_site_type_symbol
_atom_site_fract_x
_atom_site_fract_y
_atom_site_fract_z
Rb1 Rb 0.187 0.044 0.000
Cd1 Cd 0.000 0.180 0.266
Cd2 Cd 0.096 0.456 0.565
H1 H 0.000 0.426 0.395
H2 H 0.000 0.448 0.763
H3 H 0.091 0.173 0.721
H4 H 0.174 0.243 0.730
S1 S 0.000 0.195 0.934
S2 S 0.183 0.293 0.276
O1 O 0.000 0.070 0.044
O2 O 0.000 0.105 0.801
O3 O 0.000 0.330 0.456
O4 O 0.000 0.463 0.195
O5 O 0.067 0.300 0.936
O6 O 0.126 0.157 0.270
O7 O 0.132 0.215 0.668
O8 O 0.164 0.420 0.378
O9 O 0.190 0.376 0.143
O10 O 0.246 0.288 0.810
```

---

# 3
The following is a simulated powder diffraction line list of TbTmAg2Se4. It was derived from the PBE geometry in OQMD, using Cu Ka.
Lines closer than 0.1° are merged.

Largest 12 diffraction maxima, by angle, 2θ = 10–90°:
index  2theta  I/Imax
0 0 1  20.66  22
1 1 1  24.55  43
2 2 0  26.43  31
0 2 1  27.94  67
2 2 1  33.78  56
1 3 1  36.38  100
4 0 0  37.73  87
3 3 1  45.53  54
0 2 2  46.33  47
4 4 0  54.42  22
4 2 2  61.22  27
4 6 2  86.36  19

Structural model:
```
data_TbTmAg2Se4
_chemical_formula_sum 'Tb2 Tm2 Ag4 Se8'
_cell_length_a 9.529
_cell_length_b 9.547
_cell_length_c 4.300
_cell_angle_alpha 90.00
_cell_angle_beta 90.00
_cell_angle_gamma 90.00
_space_group_name_H-M_alt 'C m m 2'
_space_group_IT_number 35
loop_
_space_group_symop_operation_xyz
'x,y,z'
'-x,-y,z'
'-x,y,z'
'x,-y,z'
'x+1/2,y+1/2,z'
'-x+1/2,-y+1/2,z'
'-x+1/2,y+1/2,z'
'x+1/2,-y+1/2,z'
loop_
_atom_site_label
_atom_site_type_symbol
_atom_site_fract_x
_atom_site_fract_y
_atom_site_fract_z
Tb1 Tb 0.000 0.000 0.000
Tm1 Tm 0.000 0.500 0.592
Ag1 Ag 0.250 0.250 0.796
Se1 Se 0.000 0.301 0.080
Se2 Se 0.204 0.000 0.512
```

---

# 4
The following is a simulated powder diffraction line list of H2Os3C10O10. It was derived from the PBE geometry in OQMD, using Cu Ka.
Lines closer than 0.1° are merged.

Largest 12 diffraction maxima, by angle, 2θ = 10–90°:
index  2theta  I/Imax
0 1 0  11.31  37
1 -1 0  12.14  91
0 1 -1  13.05  32
1 0 -1  13.23  65
0 1 1  14.53  46
0 0 2  15.85  100
-1 1 2  19.19  56
1 0 -3  24.72  25
1 2 -1  30.36  29
2 -3 1  32.71  28
-1 1 4  33.36  28
3 -1 2  39.48  22

Structural model:
```
data_H2Os3C10O10
_chemical_formula_sum 'H4 Os6 C20 O20'
_cell_length_a 8.322
_cell_length_b 8.863
_cell_length_c 11.388
_cell_angle_alpha 91.67
_cell_angle_beta 98.79
_cell_angle_gamma 117.29
_space_group_name_H-M_alt 'P -1'
_space_group_IT_number 2
loop_
_space_group_symop_operation_xyz
'x,y,z'
'-x,-y,-z'
loop_
_atom_site_label
_atom_site_type_symbol
_atom_site_fract_x
_atom_site_fract_y
_atom_site_fract_z
H1 H 0.003 0.371 0.189
H2 H 0.016 0.558 0.615
Os1 Os 0.019 0.447 0.749
Os2 Os 0.112 0.769 0.702
Os3 Os 0.398 0.688 0.790
C1 C 0.051 0.361 0.896
C2 C 0.061 0.277 0.676
C3 C 0.111 0.228 0.361
C4 C 0.208 0.971 0.808
C5 C 0.245 0.677 0.285
C6 C 0.246 0.896 0.587
C7 C 0.355 0.753 0.941
C8 C 0.372 0.618 0.622
C9 C 0.376 0.109 0.202
C10 C 0.494 0.541 0.848
O1 O 0.074 0.311 0.987
O2 O 0.091 0.176 0.629
O3 O 0.232 0.991 0.197
O4 O 0.245 0.222 0.402
O5 O 0.260 0.090 0.878
O6 O 0.323 0.965 0.512
O7 O 0.328 0.795 0.031
O8 O 0.353 0.573 0.522
O9 O 0.404 0.756 0.304
O10 O 0.448 0.550 0.118
```

---

# 5
The following is a simulated powder diffraction line list of SrSc2Hg. It was derived from the PBE geometry in OQMD, using Cu Ka.
Lines closer than 0.1° are merged.

Largest 12 diffraction maxima, by angle, 2θ = 10–90°:
index  2theta  I/Imax
1 1 1  20.41  40
2 0 0  23.61  10
2 2 0  33.64  100
3 1 1  39.67  24
4 0 0  48.31  18
3 3 1  52.97  11
4 2 0  54.45  5
4 2 2  60.16  36
5 1 1  64.22  8
4 4 0  70.72  11
5 3 1  74.49  8
6 2 0  80.63  16

Structural model:
```
data_SrSc2Hg
_chemical_formula_sum 'Sr4 Sc8 Hg4'
_cell_length_a 7.536
_cell_length_b 7.536
_cell_length_c 7.536
_cell_angle_alpha 90.00
_cell_angle_beta 90.00
_cell_angle_gamma 90.00
_space_group_name_H-M_alt 'F -4 3 m'
_space_group_IT_number 216
_space_group_name_Hall 'F -4 2 3'
loop_
_atom_site_label
_atom_site_type_symbol
_atom_site_fract_x
_atom_site_fract_y
_atom_site_fract_z
Sr1 Sr 0.000 0.000 0.000
Sc1 Sc 0.000 0.000 0.500
Sc2 Sc 0.250 0.250 0.750
Hg1 Hg 0.250 0.250 0.250
```

---

# 6
The following is a simulated powder diffraction line list of DyErAg2Te4. It was derived from the PBE geometry in OQMD, using Cu Ka.
Lines closer than 0.1° are merged.

Largest 12 diffraction maxima, by angle, 2θ = 10–90°:
index  2theta  I/Imax
1 1 1  22.68  17
2 0 1  25.97  100
1 3 0  28.12  29
2 2 1  31.59  56
3 1 1  34.08  87
0 4 0  35.72  41
4 0 0  35.86  40
0 2 2  42.45  40
3 3 1  42.79  59
2 4 1  44.74  19
4 4 0  51.51  19
4 2 3  73.72  19

Structural model:
```
data_DyErAg2Te4
_chemical_formula_sum 'Dy2 Er2 Ag4 Te8'
_cell_length_a 10.017
_cell_length_b 10.055
_cell_length_c 4.703
_cell_angle_alpha 90.00
_cell_angle_beta 90.00
_cell_angle_gamma 90.00
_space_group_name_H-M_alt 'C m m 2'
_space_group_IT_number 35
loop_
_space_group_symop_operation_xyz
'x,y,z'
'-x,-y,z'
'-x,y,z'
'x,-y,z'
'x+1/2,y+1/2,z'
'-x+1/2,-y+1/2,z'
'-x+1/2,y+1/2,z'
'x+1/2,-y+1/2,z'
loop_
_atom_site_label
_atom_site_type_symbol
_atom_site_fract_x
_atom_site_fract_y
_atom_site_fract_z
Dy1 Dy 0.000 0.000 0.000
Er1 Er 0.000 0.500 0.390
Ag1 Ag 0.250 0.250 0.194
Te1 Te 0.000 0.203 0.486
Te2 Te 0.200 0.500 0.905
```

---

# 7
The following is a simulated powder diffraction line list of AcPmB4. It was derived from the PBE geometry in OQMD, using Cu Ka.
Lines closer than 0.1° are merged.

Largest 12 diffraction maxima, by angle, 2θ = 10–90°:
index  2theta  I/Imax
0 0 2  20.70  79
1 1 0  30.53  70
0 2 0  30.98  34
1 1 2  37.17  100
0 2 2  37.55  48
0 0 4  42.12  19
1 1 4  52.91  31
0 2 4  53.20  16
1 3 0  54.82  17
1 3 2  59.23  21
2 2 2  67.61  17
1 3 4  71.47  16

Structural model:
```
data_AcPmB4
_chemical_formula_sum 'Ac2 Pm2 B8'
_cell_length_a 3.398
_cell_length_b 5.774
_cell_length_c 8.581
_cell_angle_alpha 90.00
_cell_angle_beta 90.00
_cell_angle_gamma 90.00
_space_group_name_H-M_alt 'I m m m'
_space_group_IT_number 71
_space_group_name_Hall '-I 2 2'
loop_
_atom_site_label
_atom_site_type_symbol
_atom_site_fract_x
_atom_site_fract_y
_atom_site_fract_z
Ac1 Ac 0.000 0.000 0.000
Pm1 Pm 0.000 0.000 0.500
B1 B 0.000 0.336 0.249
```

---

# 8
The following is a simulated powder diffraction line list of Dy2Er3ScTe2Os. It was derived from the PBE geometry in OQMD, using Cu Ka.
Lines closer than 0.1° are merged.

Largest 12 diffraction maxima, by angle, 2θ = 10–90°:
index  2theta  I/Imax
0 1 1  12.43  22
1 0 2  31.04  81
1 3 1  31.32  68
1 2 2  33.61  100
0 5 1  33.82  25
1 4 0  33.98  60
0 3 3  37.92  50
1 4 2  40.57  20
1 5 1  40.79  25
2 0 0  45.14  37
2 3 3  60.37  26
2 6 0  60.91  27

Structural model:
```
data_Dy2Er3ScTe2Os
_chemical_formula_sum 'Dy4 Er6 Sc2 Te4 Os2'
_cell_length_a 4.018
_cell_length_b 13.991
_cell_length_c 8.269
_cell_angle_alpha 90.00
_cell_angle_beta 90.00
_cell_angle_gamma 90.00
_space_group_name_H-M_alt 'A m m 2'
_space_group_IT_number 38
loop_
_space_group_symop_operation_xyz
'x,y,z'
'-x,-y,z'
'-x,y,z'
'x,-y,z'
'x,y+1/2,z+1/2'
'-x,-y+1/2,z+1/2'
'-x,y+1/2,z+1/2'
'x,-y+1/2,z+1/2'
loop_
_atom_site_label
_atom_site_type_symbol
_atom_site_fract_x
_atom_site_fract_y
_atom_site_fract_z
Dy1 Dy 0.000 0.117 0.000
Er1 Er 0.500 0.000 0.718
Er2 Er 0.500 0.191 0.314
Sc1 Sc 0.000 0.000 0.362
Te1 Te 0.000 0.164 0.618
Os1 Os 0.500 0.000 0.154
```